Na4CoReO6: simulated powder diffractogram (Cu Kα X-rays), based on the PBE+U geometry in OQMD.

The 10 most intense peaks (2θ = 15–90°), by intensity:
2θ (°), Rel. int.
16.9, 100
40.4, 81
19.7, 66
35.0, 63
22.0, 52
40.2, 48
18.9, 35
34.1, 35
59.0, 35
25.4, 35

Cell and atoms:
```
12
Lattice="2.716 -4.695 0.000 2.716 4.695 0.000 -1.848 0.000 5.258" Properties=species:S:1:pos:R:3 pbc="T T T"
Na 0.000 0.000 0.000
Na 1.791 3.182 2.629
Na 1.791 0.077 2.629
Na 1.791 -3.231 2.629
Co 2.716 1.563 0.000
Re 2.716 -1.567 0.000
O 0.888 1.775 1.114
O 0.146 -0.111 4.148
O 1.114 -1.667 1.090
O 2.694 1.775 4.143
O 3.437 -0.111 1.110
O 2.469 -1.667 4.168
```